Diffraction record for Nd9Ni26P12. The X-ray powder pattern is simulated, not measured: it uses a crystal structure in Alexandria, relaxed with GGA-PBE and copper Kα.

Structural model:
```
Nd9Ni26P12
1.0
14.3939 0.0000 0.0000
-7.1970 12.4655 0.0000
0.0000 0.0000 3.8779
Nd Ni P
9 26 12
Direct
0.1820 0.0910 0.0000
0.2404 0.4808 0.5000
0.2404 0.7596 0.5000
0.5192 0.7596 0.5000
0.5240 0.0480 0.5000
0.5240 0.4760 0.5000
0.9090 0.0910 0.0000
0.9090 0.8180 0.0000
0.9520 0.4760 0.5000
0.0000 0.0000 0.5000
0.0058 0.2862 0.5000
0.0058 0.7196 0.5000
0.1396 0.5698 0.0000
0.1430 0.2859 0.0000
0.1430 0.8570 0.0000
0.2804 0.2862 0.5000
0.2804 0.9942 0.5000
0.3333 0.6667 0.0000
0.4083 0.1203 0.0000
0.4083 0.2880 0.0000
0.4302 0.5698 0.0000
0.4302 0.8604 0.0000
0.5354 0.2677 0.5000
0.6114 0.2228 0.0000
0.6114 0.3886 0.0000
0.7120 0.1203 0.0000
0.7120 0.5917 0.0000
0.7138 0.7196 0.5000
0.7141 0.8570 0.0000
0.7138 0.9942 0.5000
0.7323 0.2677 0.5000
0.7323 0.4646 0.5000
0.7772 0.3886 0.0000
0.8797 0.2880 0.0000
0.8797 0.5917 0.0000
0.0579 0.3876 0.0000
0.0579 0.6703 0.0000
0.0920 0.1840 0.5000
0.0920 0.9080 0.5000
0.3297 0.3876 0.0000
0.3297 0.9421 0.0000
0.3620 0.1810 0.5000
0.6124 0.6703 0.0000
0.6124 0.9421 0.0000
0.8160 0.9080 0.5000
0.8190 0.1810 0.5000
0.8190 0.6380 0.5000
```

Peak list (10 most intense, 10° ≤ 2θ ≤ 90°, in order of rising 2θ)
| two_theta | intensity | h k l |
| --- | --- | --- |
| 34.8 | 24 | 3 1 1 |
| 37.0 | 100 | 4 0 1 |
| 37.5 | 10 | 3 3 0 |
| 40.5 | 15 | 4 1 1 |
| 44.2 | 22 | 4 3 0 |
| 46.9 | 25 | 0 0 2 |
| 50.7 | 14 | 4 4 0 |
| 56.9 | 19 | 7 0 1 |
| 66.4 | 13 | 4 3 2 |
| 71.5 | 23 | 4 4 2 |